No. 1
# SmGdS2
Simulated powder X-ray diffraction pattern, copper Kα. Input: a DFT-relaxed cell (PBE, the Materials Project).
Lines closer than 0.1° are merged.

Crystal structure
```
data_SmGdS2
_symmetry_space_group_name_H-M 'R -3 m'
_symmetry_Int_Tables_number 166
_symmetry_space_group_name_Hall '-R 3 2"'
_cell_length_a 3.9674
_cell_length_b 3.9674
_cell_length_c 19.6837
_cell_angle_alpha 90.00
_cell_angle_beta 90.00
_cell_angle_gamma 120.00
loop_
_atom_site_label
_atom_site_type_symbol
_atom_site_fract_x
_atom_site_fract_y
_atom_site_fract_z
Sm1 Sm 0.0000 0.0000 0.0000
Gd1 Gd 0.0000 0.0000 0.5000
S1 S 0.0000 0.0000 0.2482
```

The 12 most intense peaks (10 to 80 degrees two-theta), in order of rising 2θ:
d [Å]  Rel. int.
3.281  20.0
3.244  58.3
2.817  100.0
2.000  36.6
1.984  35.7
1.708  9.8
1.697  19.2
1.692  9.5
1.622  18.6
1.409  11.6
1.264  16.2
1.256  15.9


No. 2
# SmGdS3
Simulated powder X-ray diffraction pattern, copper Kα. Input: a DFT-relaxed cell (PBE, the Materials Project).
Lines closer than 0.1° are merged.

Crystal structure
```
data_SmGdS3
_symmetry_space_group_name_H-M 'P n m a'
_symmetry_Int_Tables_number 62
_symmetry_space_group_name_Hall '-P 2ac 2n'
_cell_length_a 7.4146
_cell_length_b 3.9825
_cell_length_c 15.3594
_cell_angle_alpha 90.00
_cell_angle_beta 90.00
_cell_angle_gamma 90.00
loop_
_atom_site_label
_atom_site_type_symbol
_atom_site_fract_x
_atom_site_fract_y
_atom_site_fract_z
Sm1 Sm 0.1425 0.2500 0.2038
Gd1 Gd 0.2322 0.7500 0.4567
S1 S 0.0109 0.2500 0.3928
S2 S 0.1253 0.7500 0.0656
S3 S 0.1484 0.2500 0.7826
```

The 12 most intense peaks (10 to 80 degrees two-theta), in order of rising 2θ:
d [Å]  Rel. int.
3.846  18.8
3.707  16.7
3.604  22.0
3.416  100.0
3.143  29.0
2.559  41.1
2.432  15.1
2.398  19.3
2.311  25.1
2.080  14.1
1.991  19.1
1.860  16.7


No. 3
# Sm4GdS5
Simulated powder X-ray diffraction pattern, copper Kα. Input: a DFT-relaxed cell (PBE, the Materials Project).
Lines closer than 0.1° are merged.

Crystal structure
```
data_Sm4GdS5
_symmetry_space_group_name_H-M 'I m m m'
_symmetry_Int_Tables_number 71
_symmetry_space_group_name_Hall '-I 2 2'
_cell_length_a 4.1613
_cell_length_b 5.7454
_cell_length_c 20.4949
_cell_angle_alpha 90.00
_cell_angle_beta 90.00
_cell_angle_gamma 90.00
loop_
_atom_site_label
_atom_site_type_symbol
_atom_site_fract_x
_atom_site_fract_y
_atom_site_fract_z
Sm1 Sm 0.0000 0.0000 0.1006
Sm2 Sm 0.0000 0.0000 0.3003
Gd1 Gd 0.0000 0.0000 0.5000
S1 S 0.0000 0.5000 0.0972
S2 S 0.0000 0.5000 0.3000
S3 S 0.0000 0.5000 0.5000
```

The 12 most intense peaks (10 to 80 degrees two-theta), in order of rising 2θ:
d [Å]  Rel. int.
3.370  57.5
3.337  56.1
2.920  100.0
2.873  47.8
2.081  18.7
2.048  89.0
1.766  19.5
1.751  19.1
1.685  19.1
1.668  18.5
1.302  16.1
1.289  15.6


No. 4
# SmGd2S4
Simulated powder X-ray diffraction pattern, copper Kα. Input: a DFT-relaxed cell (PBE, the Materials Project).
Lines closer than 0.1° are merged.

Crystal structure
```
data_SmGd2S4
_symmetry_space_group_name_H-M 'I -4 2 d'
_symmetry_Int_Tables_number 122
_symmetry_space_group_name_Hall 'I -4 2bw'
_cell_length_a 8.4550
_cell_length_b 8.4550
_cell_length_c 8.4255
_cell_angle_alpha 90.00
_cell_angle_beta 90.00
_cell_angle_gamma 90.00
loop_
_atom_site_label
_atom_site_type_symbol
_atom_site_fract_x
_atom_site_fract_y
_atom_site_fract_z
Sm1 Sm 0.0000 0.0000 0.0000
Gd1 Gd 0.1262 0.2500 0.6250
S1 S 0.0734 0.1756 0.3018
```

The 12 most intense peaks (10 to 80 degrees two-theta), in order of rising 2θ:
d [Å]  Rel. int.
3.448  100.0
2.673  59.5
2.665  28.9
2.257  54.0
1.890  25.6
1.885  12.8
1.800  24.8
1.657  20.0
1.654  10.0
1.371  23.1
1.368  11.7
1.302  9.4


No. 5
# Gd2SnS5
Simulated powder X-ray diffraction pattern, copper Kα. Input: a DFT-relaxed cell (PBE, the Materials Project).
Lines closer than 0.1° are merged.

Crystal structure
```
data_Gd2SnS5
_symmetry_space_group_name_H-M 'P b a m'
_symmetry_Int_Tables_number 55
_symmetry_space_group_name_Hall '-P 2 2ab'
_cell_length_a 7.7980
_cell_length_b 11.3799
_cell_length_c 3.8589
_cell_angle_alpha 90.00
_cell_angle_beta 90.00
_cell_angle_gamma 90.00
loop_
_atom_site_label
_atom_site_type_symbol
_atom_site_fract_x
_atom_site_fract_y
_atom_site_fract_z
Gd1 Gd 0.0361 0.1726 0.0000
Sn1 Sn 0.0000 0.5000 0.5000
S1 S 0.0000 0.0000 0.5000
S2 S 0.1714 0.6965 0.5000
S3 S 0.1737 0.4068 0.0000
```

The 12 most intense peaks (10 to 80 degrees two-theta), in order of rising 2θ:
d [Å]  Rel. int.
3.899  70.8
3.411  100.0
3.309  66.9
3.194  42.3
2.668  45.9
2.556  40.2
2.471  85.3
2.290  29.3
2.144  35.2
1.929  28.4
1.901  37.4
1.679  27.9


No. 6
# Gd3TiS6
Simulated powder X-ray diffraction pattern, copper Kα. Input: a DFT-relaxed cell (PBE, the Materials Project).
Lines closer than 0.1° are merged.

Crystal structure
```
data_Gd3TiS6
_symmetry_space_group_name_H-M 'P n n m'
_symmetry_Int_Tables_number 58
_symmetry_space_group_name_Hall '-P 2 2n'
_cell_length_a 13.5754
_cell_length_b 16.2497
_cell_length_c 3.7991
_cell_angle_alpha 90.00
_cell_angle_beta 90.00
_cell_angle_gamma 90.00
loop_
_atom_site_label
_atom_site_type_symbol
_atom_site_fract_x
_atom_site_fract_y
_atom_site_fract_z
Gd1 Gd 0.0478 0.2181 0.0000
Gd2 Gd 0.1816 0.6486 0.0000
Gd3 Gd 0.2423 0.8994 0.5000
Ti1 Ti 0.0000 0.0000 0.5000
Ti2 Ti 0.0000 0.5000 0.5000
S1 S 0.0207 0.3998 0.0000
S2 S 0.0870 0.9251 0.0000
S3 S 0.1037 0.7539 0.5000
S4 S 0.1222 0.1051 0.5000
S5 S 0.1826 0.5203 0.5000
S6 S 0.1853 0.2880 0.5000
```

The 12 most intense peaks (10 to 80 degrees two-theta), in order of rising 2θ:
d [Å]  Rel. int.
3.892  32.9
3.483  100.0
3.336  41.3
3.322  44.7
3.248  43.3
2.828  46.4
2.571  52.5
2.563  82.0
2.470  55.0
2.189  58.2
1.982  38.4
1.900  42.6